Structure and simulated powder diffractogram of NiAgF3 (a DFT-relaxed cell (GGA+U, the Materials Project); CuKα).

Main lines, low angle first (5 to 70 degrees two-theta):
- 20.4°, intensity 22, (1 0 0)
- 29.0°, intensity 100, (1 1 0)
- 41.5°, intensity 41, (2 0 0)
- 46.7°, intensity 9, (2 1 0)
- 51.5°, intensity 39, (2 1 1)
- 60.2°, intensity 24, (2 2 0)
- 64.3°, intensity 4, (3 0 0)
- 68.2°, intensity 16, (3 1 0)

abc: 4.3472 4.3472 4.3472
angles: 90.00 90.00 90.00
Space group Pm-3m (No. 221)
Inequivalent atoms, fractional coordinates:
Ni  0.0000  0.0000  0.0000 [1 per cell]
Ag  0.5000  0.5000  0.5000 [1 per cell]
F  0.0000  0.5000  0.5000 [3 per cell]

***

Structure and simulated powder diffractogram of LiVF3 (a DFT-relaxed cell (GGA+U, the Materials Project); CuKα).

Main lines, low angle first (5 to 70 degrees two-theta):
- 19.3°, intensity 19, (1 0 1)
- 20.3°, intensity 100, (0 1 1)
- 31.6°, intensity 62, (1 1 2)
- 38.0°, intensity 18, (2 1 0)
- 39.0°, intensity 41, (1 1 3)
- 39.4°, intensity 20, (2 1 1)
- 49.8°, intensity 27, (2 2 0)
- 50.6°, intensity 38, (1 2 3)
- 58.5°, intensity 14, (3 1 2)
- 60.4°, intensity 20, (3 0 3)

abc: 5.3724 5.0112 8.9088
angles: 90.00 90.00 90.00
Space group Pnna (No. 52)
Inequivalent atoms, fractional coordinates:
Li  0.2500  0.0000  0.1895 [4 per cell]
V  0.2500  0.0000  0.5946 [4 per cell]
F  0.0524  0.2500  0.7500 [4 per cell]
F  0.0850  0.2179  0.4145 [8 per cell]

***

Structure and simulated powder diffractogram of LiCoSnO4 (a DFT-relaxed cell (GGA+U, the Materials Project); CuKα).

Main lines, low angle first (5 to 70 degrees two-theta):
- 17.4°, intensity 35, (1 1 -1)
- 18.0°, intensity 100, (1 1 1)
- 33.4°, intensity 21, (3 1 -1)
- 34.2°, intensity 42, (1 1 -3)
- 35.2°, intensity 22, (2 2 -2)
- 36.4°, intensity 16, (2 2 2)
- 41.1°, intensity 23, (4 0 0)
- 41.2°, intensity 23, (0 4 0)
- 42.4°, intensity 21, (0 0 4)
- 59.6°, intensity 15, (4 4 0)

abc: 8.8049 8.7560 8.5349
angles: 90.00 92.76 90.00
Space group C2 (No. 5)
Inequivalent atoms, fractional coordinates:
Li  0.0000  0.0000  0.0000 [2 per cell]
Li  0.0000  0.4997  0.5000 [2 per cell]
Li  0.2497  0.2464  0.2501 [4 per cell]
Co  0.1239  0.1229  0.6251 [4 per cell]
Co  0.1237  0.6231  0.1247 [4 per cell]
Sn  0.1253  0.3726  0.8752 [4 per cell]
Sn  0.1251  0.8726  0.3749 [4 per cell]
O  0.1124  0.3824  0.1203 [4 per cell]
O  0.1126  0.8823  0.6201 [4 per cell]
O  0.1148  0.1117  0.3962 [4 per cell]
O  0.1148  0.6118  0.8960 [4 per cell]
O  0.1361  0.1337  0.8528 [4 per cell]
O  0.1360  0.6337  0.3526 [4 per cell]
O  0.1372  0.3631  0.6298 [4 per cell]
O  0.1370  0.8633  0.1296 [4 per cell]

***

Structure and simulated powder diffractogram of Li3Co2Si2O8 (a DFT-relaxed cell (GGA+U, the Materials Project); CuKα).

Main lines, low angle first (5 to 70 degrees two-theta):
- 13.7°, intensity 100, (0 0 1)
- 21.7°, intensity 72, (1 1 -1)
- 24.4°, intensity 20, (2 0 0)
- 27.5°, intensity 32, (0 2 1)
- 28.3°, intensity 50, (2 0 1)
- 32.4°, intensity 28, (1 1 -2)
- 32.7°, intensity 29, (1 1 2)
- 34.3°, intensity 80, (2 2 0)
- 60.0°, intensity 19, (3 3 -2)
- 60.7°, intensity 18, (3 3 2)

abc: 7.2933 7.4982 6.4669
angles: 90.00 90.97 90.00
Space group Cm (No. 8)
Inequivalent atoms, fractional coordinates:
Li  0.0000  0.0000  0.0000 [2 per cell]
Li  0.1823  0.3266  0.7596 [4 per cell]
Co  0.1872  0.3069  0.2709 [4 per cell]
Si  0.0095  0.0000  0.5226 [2 per cell]
Si  0.3715  0.0000  0.0085 [2 per cell]
O  0.0096  0.5000  0.2204 [2 per cell]
O  0.1333  0.1827  0.5080 [4 per cell]
O  0.2299  0.1753  0.0257 [4 per cell]
O  0.3753  0.5000  0.3022 [2 per cell]
O  0.3878  0.5000  0.7286 [2 per cell]
O  0.4944  0.0000  0.8095 [2 per cell]

***

Structure and simulated powder diffractogram of MgVRhO4 (a DFT-relaxed cell (GGA+U, the Materials Project); CuKα).

Main lines, low angle first (5 to 70 degrees two-theta):
- 17.3°, intensity 57, (0 1 1)
- 21.3°, intensity 71, (0 0 2)
- 27.5°, intensity 100, (0 2 0)
- 34.2°, intensity 81, (1 1 1)
- 35.1°, intensity 54, (0 1 3)
- 36.5°, intensity 52, (1 0 2)
- 46.3°, intensity 68, (1 1 3)
- 53.1°, intensity 40, (1 3 1)
- 53.2°, intensity 29, (1 0 4)
- 62.4°, intensity 26, (1 3 3)

abc: 3.0553 6.4769 8.3322
angles: 90.00 90.00 90.00
Space group Amm2 (No. 38)
Inequivalent atoms, fractional coordinates:
Mg  0.0000  0.0000  0.0000 [2 per cell]
V  0.5000  0.0000  0.7066 [2 per cell]
Rh  0.0000  0.0000  0.3191 [2 per cell]
O  0.0000  0.1829  0.8030 [4 per cell]
O  0.5000  0.0000  0.1428 [2 per cell]
O  0.5000  0.0000  0.4815 [2 per cell]

***

Structure and simulated powder diffractogram of Li2MnOF3 (a DFT-relaxed cell (GGA+U, the Materials Project); CuKα).

Main lines, low angle first (5 to 70 degrees two-theta):
- 18.5°, intensity 45, (0 0 2)
- 19.4°, intensity 100, (0 1 1)
- 32.9°, intensity 27, (0 1 3)
- 34.2°, intensity 15, (1 0 -2)
- 38.4°, intensity 20, (1 1 -2)
- 39.3°, intensity 18, (0 2 2)
- 40.1°, intensity 16, (1 1 2)
- 43.6°, intensity 14, (1 1 -3)
- 45.9°, intensity 14, (1 1 3)
- 61.4°, intensity 14, (1 1 5)

abc: 3.0307 5.2269 9.5837
angles: 90.00 93.24 90.00
Space group Pc (No. 7)
Inequivalent atoms, fractional coordinates:
Li  0.0000  0.2187  0.0000 [2 per cell]
Li  0.9593  0.2218  0.6333 [2 per cell]
Mn  0.4704  0.2678  0.3275 [2 per cell]
O  0.9461  0.1392  0.4309 [2 per cell]
F  0.4670  0.0143  0.6763 [2 per cell]
F  0.4900  0.3908  0.9296 [2 per cell]
F  0.9984  0.4246  0.1987 [2 per cell]

***

Structure and simulated powder diffractogram of La2Mo2O7 (a DFT-relaxed cell (GGA+U, the Materials Project); CuKα).

Main lines, low angle first (5 to 70 degrees two-theta):
- 26.0°, intensity 80, (1 3 0)
- 26.6°, intensity 100, (1 0 1)
- 27.6°, intensity 78, (1 1 1)
- 30.2°, intensity 37, (2 1 0)
- 31.1°, intensity 85, (0 3 1)
- 32.4°, intensity 58, (1 4 0)
- 39.9°, intensity 34, (2 2 1)
- 45.2°, intensity 55, (0 0 2)
- 47.6°, intensity 54, (2 4 1)
- 56.8°, intensity 39, (0 7 1)

abc: 6.1034 12.3923 4.0069
angles: 90.00 90.00 90.00
Space group Pnnm (No. 58)
Inequivalent atoms, fractional coordinates:
La  0.0950  0.1564  0.0000 [4 per cell]
Mo  0.1860  0.4483  0.0000 [4 per cell]
O  0.0000  0.0000  0.5000 [2 per cell]
O  0.1155  0.6174  0.0000 [4 per cell]
O  0.1497  0.7978  0.5000 [4 per cell]
O  0.2321  0.4570  0.5000 [4 per cell]

***

Structure and simulated powder diffractogram of Li5Fe3Sb2O10 (a DFT-relaxed cell (GGA+U, the Materials Project); CuKα).

Main lines, low angle first (5 to 70 degrees two-theta):
- 17.4°, intensity 49, (0 1 1)
- 17.7°, intensity 100, (1 0 1)
- 21.7°, intensity 32, (1 1 0)
- 25.1°, intensity 30, (1 0 -3)
- 33.6°, intensity 36, (1 1 -4)
- 35.2°, intensity 33, (0 1 -5)
- 40.9°, intensity 45, (1 1 6)
- 41.1°, intensity 94, (1 -2 1)
- 59.1°, intensity 27, (1 3 -4)
- 59.9°, intensity 25, (3 2 3)

abc: 5.3316 5.4110 15.0127
angles: 86.51 87.00 80.27
Space group P1 (No. 1)
Inequivalent atoms, fractional coordinates:
Li  0.0000  0.0000  0.0000 [1 per cell]
Li  0.0512  0.2775  0.4599 [1 per cell]
Li  0.1564  0.7603  0.3596 [1 per cell]
Li  0.3624  0.7419  0.1574 [1 per cell]
Li  0.4484  0.2241  0.0504 [1 per cell]
Li  0.5022  0.5075  0.5067 [1 per cell]
Li  0.5565  0.7834  0.9523 [1 per cell]
Li  0.6398  0.2608  0.8428 [1 per cell]
Li  0.8438  0.2695  0.6531 [1 per cell]
Li  0.9338  0.7116  0.5523 [1 per cell]
Fe  0.1973  0.0019  0.8085 [1 per cell]
Fe  0.2481  0.2447  0.2519 [1 per cell]
Fe  0.3016  0.5083  0.6981 [1 per cell]
Fe  0.7033  0.5043  0.3062 [1 per cell]
Fe  0.7511  0.7542  0.7518 [1 per cell]
Fe  0.8020  0.0009  0.1967 [1 per cell]
Sb  0.1065  0.4966  0.9042 [1 per cell]
Sb  0.3844  0.0144  0.6074 [1 per cell]
Sb  0.6102  0.0009  0.3999 [1 per cell]
Sb  0.8979  0.5051  0.1020 [1 per cell]
O  0.0298  0.6190  0.2124 [1 per cell]
O  0.0768  0.8964  0.6886 [1 per cell]
O  0.1175  0.1646  0.1286 [1 per cell]
O  0.1762  0.3896  0.5839 [1 per cell]
O  0.1985  0.6135  0.0247 [1 per cell]
O  0.3109  0.1513  0.9273 [1 per cell]
O  0.3125  0.8768  0.4606 [1 per cell]
O  0.3894  0.3400  0.3661 [1 per cell]
O  0.4024  0.6200  0.8390 [1 per cell]
O  0.4880  0.8804  0.2807 [1 per cell]
O  0.5194  0.1292  0.7313 [1 per cell]
O  0.6006  0.3859  0.1685 [1 per cell]
O  0.6441  0.6152  0.6409 [1 per cell]
O  0.6912  0.8499  0.0808 [1 per cell]
O  0.7368  0.1383  0.5051 [1 per cell]
O  0.8068  0.3847  0.9838 [1 per cell]
O  0.8264  0.6580  0.4161 [1 per cell]
O  0.8863  0.8361  0.8811 [1 per cell]
O  0.8971  0.1206  0.3189 [1 per cell]
O  0.9758  0.3828  0.7948 [1 per cell]